Entry 1:
Ir2OsRh3: simulated PXRD pattern (Cu Kα (λ = 1.5418 Å)), based on the PBE geometry in Alexandria.
No peak broadening, texture or thermal motion is included.

Structural model:
Cell lengths 6.3592, 2.7234, 10.3414 Å; angles 90.00, 97.06, 90.00 degrees
Positions (direct):
Ir 0.0888 0.2500 0.1070
Ir 0.3682 0.7500 0.5785
Ir 0.6318 0.2500 0.4215
Ir 0.9112 0.7500 0.8930
Os 0.1494 0.2500 0.7343
Os 0.8506 0.7500 0.2657
Rh 0.1863 0.2500 0.3718
Rh 0.3278 0.7500 0.9425
Rh 0.4320 0.7500 0.2148
Rh 0.5680 0.2500 0.7852
Rh 0.6722 0.2500 0.0575
Rh 0.8137 0.7500 0.6282

Top 10 peaks for 2θ = 10–90°, by angle:
| 2θ (°) | d_spacing | intensity |
| --- | --- | --- |
| 17.37 | 5.105 | 33 |
| 36.28 | 2.476 | 35 |
| 39.31 | 2.292 | 48 |
| 41.24 | 2.189 | 68 |
| 42.42 | 2.131 | 100 |
| 43.92 | 2.062 | 89 |
| 44.49 | 2.036 | 39 |
| 44.72 | 2.027 | 39 |
| 69.10 | 1.359 | 29 |
| 74.93 | 1.267 | 19 |

***

Entry 2:
Ir12Os4Rh3: simulated PXRD pattern (Cu Kα (λ = 1.5418 Å)), based on the PBE geometry in Alexandria.
No peak broadening, texture or thermal motion is included.

Structural model:
Cell lengths 8.0292, 8.0292, 8.0292 Å; angles 109.47, 109.47, 109.47 degrees
Positions (direct):
Ir 0.0949 0.7348 0.3601
Ir 0.2652 0.3601 0.6253
Ir 0.2652 0.6399 0.9051
Ir 0.3601 0.0949 0.7348
Ir 0.3601 0.6253 0.2652
Ir 0.3747 0.7348 0.6399
Ir 0.6253 0.2652 0.3601
Ir 0.6399 0.3747 0.7348
Ir 0.6399 0.9051 0.2652
Ir 0.7348 0.3601 0.0949
Ir 0.7348 0.6399 0.3747
Ir 0.9051 0.2652 0.6399
Os 0.0000 0.0000 0.5000
Os 0.0000 0.5000 0.0000
Os 0.5000 0.0000 0.0000
Os 0.5000 0.5000 0.5000
Rh 0.0000 0.5000 0.5000
Rh 0.5000 0.0000 0.5000
Rh 0.5000 0.5000 0.0000

Top 10 peaks for 2θ = 10–90°, by angle:
| 2θ (°) | d_spacing | intensity |
| --- | --- | --- |
| 13.51 | 6.556 | 100 |
| 19.15 | 4.636 | 18 |
| 23.50 | 3.785 | 27 |
| 36.25 | 2.478 | 41 |
| 38.85 | 2.318 | 34 |
| 41.32 | 2.185 | 22 |
| 43.66 | 2.073 | 69 |
| 48.08 | 1.892 | 69 |
| 50.17 | 1.818 | 27 |
| 76.96 | 1.239 | 35 |

***

Entry 3:
Ir2Os3Rh3: simulated PXRD pattern (Cu Kα (λ = 1.5418 Å)), based on the PBE geometry in Alexandria.
No peak broadening, texture or thermal motion is included.

Structural model:
Cell lengths 2.7067, 6.6977, 6.6977 Å; angles 104.35, 90.00, 90.00 degrees
Positions (direct):
Ir 0.0000 0.1284 0.8716
Ir 0.0000 0.8716 0.1284
Os 0.0000 0.2782 0.2782
Os 0.0000 0.4129 0.6669
Os 0.0000 0.6669 0.4129
Rh 0.5000 0.0428 0.4915
Rh 0.5000 0.4915 0.0428
Rh 0.5000 0.7648 0.7648

Top 10 peaks for 2θ = 10–90°, by angle:
| 2θ (°) | d_spacing | intensity |
| --- | --- | --- |
| 33.10 | 2.707 | 24 |
| 33.84 | 2.649 | 16 |
| 39.89 | 2.260 | 55 |
| 40.56 | 2.224 | 100 |
| 43.56 | 2.078 | 35 |
| 44.11 | 2.053 | 42 |
| 48.08 | 1.893 | 48 |
| 53.31 | 1.718 | 27 |
| 67.29 | 1.391 | 18 |
| 83.65 | 1.156 | 25 |

***

Entry 4:
Ir4OsRh6: simulated PXRD pattern (Cu Kα (λ = 1.5418 Å)), based on the PBE geometry in Alexandria.
No peak broadening, texture or thermal motion is included.

Structural model:
Cell lengths 4.3193, 18.7462, 4.6682 Å; angles 90.00, 116.88, 90.00 degrees
Positions (direct):
Ir 0.1134 0.1347 0.2138
Ir 0.1134 0.3653 0.2138
Ir 0.3204 0.0274 0.6403
Ir 0.3204 0.4726 0.6403
Ir 0.6796 0.5274 0.3597
Ir 0.6796 0.9726 0.3597
Ir 0.8866 0.6347 0.7862
Ir 0.8866 0.8653 0.7862
Os 0.0541 0.7500 0.0717
Os 0.9459 0.2500 0.9283
Rh 0.0000 0.0000 0.0000
Rh 0.0000 0.5000 0.0000
Rh 0.2160 0.6089 0.4341
Rh 0.2160 0.8911 0.4341
Rh 0.3876 0.7500 0.6713
Rh 0.4142 0.1654 0.8313
Rh 0.4142 0.3346 0.8313
Rh 0.5858 0.6654 0.1687
Rh 0.5858 0.8346 0.1687
Rh 0.6124 0.2500 0.3287
Rh 0.7840 0.1089 0.5659
Rh 0.7840 0.3911 0.5659

Top 10 peaks for 2θ = 10–90°, by angle:
| 2θ (°) | d_spacing | intensity |
| --- | --- | --- |
| 23.36 | 3.808 | 57 |
| 38.40 | 2.344 | 48 |
| 40.02 | 2.253 | 25 |
| 41.05 | 2.199 | 58 |
| 41.18 | 2.192 | 38 |
| 41.83 | 2.160 | 100 |
| 43.09 | 2.099 | 62 |
| 43.48 | 2.081 | 63 |
| 45.59 | 1.990 | 39 |
| 45.95 | 1.975 | 56 |

***

Entry 5:
Ir6Os3Rh2: simulated PXRD pattern (Cu Kα (λ = 1.5418 Å)), based on the PBE geometry in Alexandria.
No peak broadening, texture or thermal motion is included.

Structural model:
Cell lengths 4.7290, 6.1007, 6.1061 Å; angles 107.31, 97.27, 104.89 degrees
Positions (direct):
Ir 0.0469 0.1840 0.4132
Ir 0.1387 0.5478 0.2346
Ir 0.3230 0.2759 0.8657
Ir 0.6770 0.7241 0.1343
Ir 0.8613 0.4522 0.7654
Ir 0.9531 0.8160 0.5868
Os 0.4135 0.6339 0.6800
Os 0.5000 0.0000 0.5000
Os 0.5865 0.3661 0.3200
Rh 0.2306 0.9113 0.0501
Rh 0.7694 0.0887 0.9499

Top 10 peaks for 2θ = 10–90°, by angle:
| 2θ (°) | d_spacing | intensity |
| --- | --- | --- |
| 40.35 | 2.235 | 33 |
| 40.47 | 2.229 | 100 |
| 46.94 | 1.936 | 22 |
| 47.10 | 1.930 | 43 |
| 68.58 | 1.368 | 14 |
| 68.78 | 1.365 | 21 |
| 82.76 | 1.166 | 13 |
| 82.88 | 1.165 | 13 |
| 83.02 | 1.163 | 21 |
| 87.52 | 1.115 | 8 |

***

Entry 6:
Ir4OsRh: simulated PXRD pattern (Cu Kα (λ = 1.5418 Å)), based on the PBE geometry in Alexandria.
No peak broadening, texture or thermal motion is included.

Structural model:
Cell lengths 7.2401, 7.2401, 8.9016 Å; angles 90.00, 90.00, 158.19 degrees
Positions (direct):
Ir 0.0026 0.9974 0.5000
Ir 0.1106 0.8894 0.2510
Ir 0.3301 0.6699 0.5007
Ir 0.4448 0.5552 0.2501
Ir 0.5552 0.4448 0.7501
Ir 0.6699 0.3301 0.0007
Ir 0.8894 0.1106 0.7510
Ir 0.9974 0.0026 0.0000
Os 0.3332 0.6668 0.9983
Os 0.6668 0.3332 0.4983
Rh 0.2218 0.7782 0.7486
Rh 0.7782 0.2218 0.2486

Top 10 peaks for 2θ = 10–90°, by angle:
| 2θ (°) | d_spacing | intensity |
| --- | --- | --- |
| 37.95 | 2.371 | 11 |
| 39.33 | 2.291 | 35 |
| 40.54 | 2.225 | 34 |
| 43.24 | 2.093 | 100 |
| 49.19 | 1.852 | 19 |
| 65.57 | 1.424 | 8 |
| 68.55 | 1.369 | 22 |
| 75.61 | 1.258 | 20 |
| 82.78 | 1.166 | 26 |
| 84.60 | 1.146 | 15 |

***

Entry 7:
IrOsRh6: simulated PXRD pattern (Cu Kα (λ = 1.5418 Å)), based on the PBE geometry in Alexandria.
No peak broadening, texture or thermal motion is included.

Structural model:
Cell lengths 3.8450, 3.8450, 7.6899 Å; angles 90.00, 90.00, 90.00 degrees
Positions (direct):
Ir 0.0000 0.0000 0.0000
Os 0.0000 0.0000 0.5000
Rh 0.0000 0.5000 0.2529
Rh 0.0000 0.5000 0.7471
Rh 0.5000 0.0000 0.2529
Rh 0.5000 0.0000 0.7471
Rh 0.5000 0.5000 0.0000
Rh 0.5000 0.5000 0.5000

Top 10 peaks for 2θ = 10–90°, by angle:
| 2θ (°) | d_spacing | intensity |
| --- | --- | --- |
| 23.13 | 3.845 | 8 |
| 32.94 | 2.719 | 7 |
| 40.64 | 2.220 | 100 |
| 47.28 | 1.922 | 48 |
| 53.27 | 1.720 | 4 |
| 58.83 | 1.570 | 3 |
| 69.10 | 1.359 | 31 |
| 73.95 | 1.282 | 2 |
| 83.36 | 1.159 | 37 |
| 87.98 | 1.110 | 11 |

***

Entry 8:
Ir4Os3Rh12: simulated PXRD pattern (Cu Kα (λ = 1.5418 Å)), based on the PBE geometry in Alexandria.
No peak broadening, texture or thermal motion is included.

Structural model:
Cell lengths 7.9832, 7.9832, 7.9832 Å; angles 109.47, 109.47, 109.47 degrees
Positions (direct):
Ir 0.0000 0.0000 0.5000
Ir 0.0000 0.5000 0.0000
Ir 0.5000 0.0000 0.0000
Ir 0.5000 0.5000 0.5000
Os 0.0000 0.5000 0.5000
Os 0.5000 0.0000 0.5000
Os 0.5000 0.5000 0.0000
Rh 0.0982 0.7374 0.3607
Rh 0.2626 0.3607 0.6233
Rh 0.2626 0.6393 0.9018
Rh 0.3607 0.0982 0.7374
Rh 0.3607 0.6233 0.2626
Rh 0.3767 0.7374 0.6393
Rh 0.6233 0.2626 0.3607
Rh 0.6393 0.3767 0.7374
Rh 0.6393 0.9018 0.2626
Rh 0.7374 0.3607 0.0982
Rh 0.7374 0.6393 0.3767
Rh 0.9018 0.2626 0.6393

Top 10 peaks for 2θ = 10–90°, by angle:
| 2θ (°) | d_spacing | intensity |
| --- | --- | --- |
| 13.58 | 6.518 | 93 |
| 27.37 | 3.259 | 63 |
| 36.47 | 2.464 | 28 |
| 39.09 | 2.305 | 48 |
| 41.56 | 2.173 | 12 |
| 43.93 | 2.061 | 32 |
| 48.37 | 1.882 | 100 |
| 50.48 | 1.808 | 16 |
| 63.87 | 1.458 | 14 |
| 77.49 | 1.232 | 50 |